This entry pairs a crystal structure of Cs4CdNi3F12 with its calculated PXRD pattern. Radiation: copper Kα. Structure: a GGA+U-relaxed structure.
Kinematic intensities with the Lorentz-polarization factor, no thermal factor.

Largest 8 diffraction maxima, low angle first, 5° ≤ 2θ ≤ 70°:
Position (°2θ), d (Å), I_rel
26.22, 3.398, 69
28.38, 3.145, 100
28.62, 3.119, 19
39.02, 2.308, 48
48.95, 1.861, 22
50.24, 1.816, 19
58.71, 1.573, 21
62.07, 1.495, 17

Structural model:
```
data_Cs4CdNi3F12
_space_group_name_H-M_alt 'P 1'
_space_group_IT_number 1
_space_group_name_Hall 'P 1'
_cell_length_a 10.776
_cell_length_b 10.776
_cell_length_c 10.776
_cell_angle_alpha 33.94
_cell_angle_beta 33.94
_cell_angle_gamma 33.94
loop_
_atom_site_label
_atom_site_type_symbol
_atom_site_fract_x
_atom_site_fract_y
_atom_site_fract_z
Cs1 Cs 0.130 0.130 0.130
Cs2 Cs 0.285 0.285 0.285
Cs3 Cs 0.715 0.715 0.715
Cs4 Cs 0.870 0.870 0.870
Cd1 Cd 0.000 0.000 0.000
Ni1 Ni 0.410 0.410 0.410
Ni2 Ni 0.500 0.500 0.500
Ni3 Ni 0.590 0.590 0.590
F1 F 0.174 0.597 0.597
F2 F 0.216 0.216 0.693
F3 F 0.216 0.693 0.216
F4 F 0.307 0.784 0.784
F5 F 0.403 0.403 0.826
F6 F 0.403 0.826 0.403
F7 F 0.597 0.174 0.597
F8 F 0.597 0.597 0.174
F9 F 0.693 0.216 0.216
F10 F 0.784 0.307 0.784
F11 F 0.784 0.784 0.307
F12 F 0.826 0.403 0.403
```